Diffraction record for Mn3Cd5Cl16. The powder X-ray diffraction pattern is computed, not measured: it uses a DFT-relaxed cell (GGA-PBE, Alexandria) and Cu Kα (weighted mean of Kα1 and Kα2).
Intensities are scaled so that the largest is 100.

Most intense lines, 10° ≤ 2θ ≤ 80°, sorted by position:
2theta  Rel. int.
14.5  51.8
15.2  63.0
15.3  100.0
19.7  35.8
27.6  59.1
30.9  52.6
34.9  41.9
35.1  66.6
46.5  41.6
47.6  65.6

Structural model:
```
Mn3Cd5Cl16
1.0
6.630 -3.810 0.000
6.630 3.810 0.000
-0.144 0.000 12.185
Mn Cd Cl
3 5 16
direct
0.000 0.000 0.000
0.169 0.663 0.498
0.663 0.169 0.498
0.000 0.493 0.999
0.162 0.162 0.268
0.493 0.000 0.999
0.495 0.495 0.765
0.663 0.663 0.499
0.001 0.508 0.381
0.156 0.156 0.880
0.159 0.676 0.882
0.313 0.851 0.124
0.321 0.321 0.130
0.333 0.809 0.623
0.343 0.343 0.618
0.490 0.490 0.383
0.508 0.001 0.381
0.670 0.670 0.874
0.676 0.159 0.882
0.809 0.333 0.623
0.838 0.838 0.110
0.839 0.839 0.606
0.851 0.313 0.124
0.994 0.994 0.386
```